Starting from a cell relaxed with PBE, the X-ray diffraction stick pattern of CoReRh6 was simulated for Cu Kα X-rays.
Peak positions follow from Bragg's law for the DFT cell and can differ from measured ones.

Cell lengths 4.881, 4.881, 4.881 Å; angles 93.88, 93.88, 93.88 degrees
Sites, in units of the cell vectors:
Co  0.000  0.000  0.000
Re  0.500  0.500  0.500
Rh  0.028  0.750  0.457
Rh  0.250  0.543  0.972
Rh  0.457  0.028  0.750
Rh  0.543  0.972  0.250
Rh  0.750  0.457  0.028
Rh  0.972  0.250  0.543

Most intense lines, 2θ from 10° to 90°, in order of rising 2θ:
2θ = 18.27°, intensity 208; 2θ = 37.02°, intensity 475; 2θ = 40.30°, intensity 398; 2θ = 42.82°, intensity 1000; 2θ = 43.98°, intensity 876; 2θ = 45.17°, intensity 394; 2θ = 48.62°, intensity 168; 2θ = 63.06°, intensity 161; 2θ = 70.66°, intensity 196; 2θ = 77.64°, intensity 176